Simulated X-ray powder pattern
Compound: Ca2NbFeO6
Radiation: λ = 1.5418 Å (Cu Kα)
Structure: a cell relaxed with PBE+U

Principal peaks in the range 2θ = 10–90°, low angle first:
- hkl 1 1 -1, 22.65 deg, intensity 42.0
- hkl 0 2 0, 31.71 deg, intensity 24.7
- hkl 1 1 -3, 32.28 deg, intensity 100.0
- hkl 2 0 -2, 32.72 deg, intensity 22.5
- hkl 2 2 -2, 46.21 deg, intensity 32.4
- hkl 0 0 4, 46.38 deg, intensity 17.9
- hkl 1 3 1, 56.84 deg, intensity 16.3
- hkl 0 2 4, 57.27 deg, intensity 11.6
- hkl 3 1 -1, 58.04 deg, intensity 18.4
- hkl 3 1 -5, 58.20 deg, intensity 12.4

Atomic structure:
```
data_Ca2NbFeO6
_chemical_formula_sum 'Ca4 Nb2 Fe2 O12'
_cell_length_a 5.474
_cell_length_b 5.643
_cell_length_c 9.540
_cell_angle_alpha 90.00
_cell_angle_beta 124.82
_cell_angle_gamma 90.00
_space_group_name_H-M_alt 'P 1 21/c 1'
_space_group_IT_number 14
loop_
_space_group_symop_operation_xyz
'x,y,z'
'-x,-y,-z'
'-x,y+1/2,-z+1/2'
'x,-y+1/2,z+1/2'
loop_
_atom_site_label
_atom_site_fract_x
_atom_site_fract_y
_atom_site_fract_z
Ca1 0.236 0.052 0.249
Nb1 0.500 0.000 0.000
Fe1 0.000 0.000 0.500
O1 0.157 0.203 0.953
O2 0.249 0.708 0.950
O3 0.344 0.028 0.751
```